# 1
Calculated powder X-ray diffraction pattern of Ac5HPb4 for Cu Kα (weighted mean of Kα1 and Kα2), from DFT lattice parameters and positions (GGA-PBE).
No peak broadening, texture or thermal motion is included.

Main lines, low angle first (10 to 90 degrees two-theta):
| 2theta | d_spacing | I_rel |
| --- | --- | --- |
| 26.08 | 3.416 | 49 |
| 26.57 | 3.355 | 100 |
| 37.58 | 2.394 | 80 |
| 37.93 | 2.372 | 39 |
| 46.61 | 1.948 | 42 |
| 60.86 | 1.522 | 19 |
| 61.84 | 1.500 | 18 |
| 68.28 | 1.374 | 26 |

Cell and atoms:
abc: 10.6081 10.6081 6.8326
angles: 90.00 90.00 90.00
Space group I4 (No. 79)
One atom of each set of equivalent atoms:
1 Ac 0.0000 0.0000 0.0000 (multiplicity 2)
2 Ac 0.0970 0.2902 0.4485 (multiplicity 8)
3 H 0.0000 0.0000 0.3786 (multiplicity 2)
4 Pb 0.0947 0.2986 0.9451 (multiplicity 8)

# 2
Calculated powder X-ray diffraction pattern of Tb2Co7 for Cu Kα (weighted mean of Kα1 and Kα2), from DFT lattice parameters and positions (GGA-PBE).
No peak broadening, texture or thermal motion is included.

Main lines, low angle first (10 to 90 degrees two-theta):
| 2theta | d_spacing | I_rel |
| --- | --- | --- |
| 32.33 | 2.769 | 44 |
| 34.32 | 2.613 | 33 |
| 36.13 | 2.486 | 50 |
| 42.04 | 2.149 | 35 |
| 42.77 | 2.114 | 100 |
| 45.13 | 2.009 | 15 |
| 69.54 | 1.352 | 22 |
| 76.65 | 1.243 | 20 |

Cell and atoms:
abc: 4.9727 4.9727 36.1646
angles: 90.00 90.00 120.00
Space group R-3m (No. 166, hexagonal axes)
One atom of each set of equivalent atoms:
1 Tb 0.0000 0.0000 0.0513 (multiplicity 6)
2 Tb 0.0000 0.0000 0.1481 (multiplicity 6)
3 Co 0.0000 0.0000 0.2787 (multiplicity 6)
4 Co 0.0000 0.0000 0.3883 (multiplicity 6)
5 Co 0.0000 0.0000 0.5000 (multiplicity 3)
6 Co 0.0000 0.5000 0.0000 (multiplicity 9)
7 Co 0.9999 0.5000 0.1089 (multiplicity 18)

# 3
Calculated powder X-ray diffraction pattern of Pm3NdEr4 for Cu Kα (weighted mean of Kα1 and Kα2), from DFT lattice parameters and positions (GGA-PBE).
No peak broadening, texture or thermal motion is included.

Main lines, low angle first (10 to 90 degrees two-theta):
| 2theta | d_spacing | I_rel |
| --- | --- | --- |
| 28.28 | 3.156 | 23 |
| 31.19 | 2.868 | 37 |
| 32.38 | 2.765 | 100 |
| 32.49 | 2.756 | 49 |
| 42.63 | 2.121 | 23 |
| 50.22 | 1.817 | 19 |
| 56.28 | 1.635 | 31 |
| 60.31 | 1.535 | 23 |

Cell and atoms:
abc: 11.4713 7.2980 6.2836
angles: 90.00 90.00 90.00
Space group Pmn2_1 (No. 31)
One atom of each set of equivalent atoms:
1 Pm 0.0000 0.1280 0.0000 (multiplicity 2)
2 Pm 0.2501 0.1282 0.3356 (multiplicity 4)
3 Nd 0.0000 0.8724 0.5000 (multiplicity 2)
4 Er 0.0000 0.3790 0.5015 (multiplicity 2)
5 Er 0.0000 0.6208 0.0013 (multiplicity 2)
6 Er 0.2497 0.3789 0.8345 (multiplicity 4)